# 1
Theoretical X-ray powder pattern of RbBr3O for CuKα, from a structure optimized by DFT (PBE).
Intensities are scaled so that the largest is 100.

Main lines, in order of rising 2θ (2θ from 10° to 90°):
- 26.5 deg, I 11
- 30.3 deg, I 100
- 30.9 deg, I 23
- 37.1 deg, I 38
- 49.0 deg, I 23
- 53.5 deg, I 12
- 53.8 deg, I 5
- 54.5 deg, I 9
- 62.7 deg, I 23
- 63.1 deg, I 10

Cell and atoms:
```
10
Lattice="-3.425 3.425 5.796 3.425 -3.425 5.796 3.425 3.425 -5.796" Properties=species:S:1:pos:R:3 pbc="T T T"
Rb 3.425 0.000 2.898
Rb 0.000 3.425 2.898
Br 0.000 0.000 2.319
Br 1.818 1.818 0.000
Br 1.607 -1.607 5.796
Br -1.607 1.607 5.796
Br 1.607 1.607 5.796
Br 0.000 0.000 9.273
O 0.000 0.000 0.000
O 0.000 0.000 5.796
```

---

# 2
Theoretical X-ray powder pattern of NaEuAgBi for CuKα, from a structure optimized by DFT (PBE).
Intensities are scaled so that the largest is 100.

Main lines, in order of rising 2θ (2θ from 10° to 90°):
- 20.1 deg, I 23
- 23.3 deg, I 10
- 33.1 deg, I 100
- 39.1 deg, I 13
- 47.5 deg, I 18
- 52.1 deg, I 6
- 59.2 deg, I 38
- 69.5 deg, I 12
- 73.2 deg, I 5
- 79.2 deg, I 16

Cell and atoms:
```
16
Lattice="7.650 0.000 0.000 0.000 7.650 0.000 0.000 0.000 7.650" Properties=species:S:1:pos:R:3 pbc="T T T"
Na 0.000 0.000 0.000
Na 0.000 3.825 3.825
Na 3.825 0.000 3.825
Na 3.825 3.825 0.000
Eu 0.000 0.000 3.825
Eu 0.000 3.825 0.000
Eu 3.825 0.000 0.000
Eu 3.825 3.825 3.825
Ag 1.912 1.912 5.737
Ag 1.912 5.737 1.912
Ag 5.737 1.912 1.912
Ag 5.737 5.737 5.737
Bi 1.912 1.912 1.912
Bi 1.912 5.737 5.737
Bi 5.737 1.912 5.737
Bi 5.737 5.737 1.912
```

---

# 3
Theoretical X-ray powder pattern of PuAg2O2F4 for CuKα, from a structure optimized by DFT (PBE).
Intensities are scaled so that the largest is 100.

Main lines, in order of rising 2θ (2θ from 10° to 90°):
- 18.2 deg, I 60
- 22.3 deg, I 69
- 23.9 deg, I 67
- 28.2 deg, I 52
- 28.6 deg, I 100
- 31.0 deg, I 60
- 36.3 deg, I 62
- 43.8 deg, I 35
- 46.1 deg, I 37
- 50.2 deg, I 25

Cell and atoms:
```
9
Lattice="5.164 -3.160 0.000 5.164 3.160 0.000 -1.550 0.000 4.391" Properties=species:S:1:pos:R:3 pbc="T T T"
Pu 0.000 0.000 0.000
Ag 2.948 0.000 2.670
Ag 5.832 0.000 1.722
O 1.019 0.000 1.523
O 7.761 0.000 2.869
F 4.009 1.455 0.759
F 4.770 1.455 3.632
F 4.009 -1.455 0.759
F 4.770 -1.455 3.632
```

---

# 4
Theoretical X-ray powder pattern of Ce3AlB2N6 for CuKα, from a structure optimized by DFT (PBE).
Intensities are scaled so that the largest is 100.

Main lines, in order of rising 2θ (2θ from 10° to 90°):
- 24.2 deg, I 100
- 33.9 deg, I 67
- 35.1 deg, I 60
- 42.0 deg, I 41
- 44.1 deg, I 12
- 49.5 deg, I 32
- 55.0 deg, I 23
- 56.7 deg, I 23
- 60.6 deg, I 13
- 61.4 deg, I 23

Cell and atoms:
```
12
Lattice="5.296 0.000 0.000 -2.648 4.586 0.000 0.000 0.000 6.164" Properties=species:S:1:pos:R:3 pbc="T T T"
Ce 0.000 0.000 0.000
Ce 0.000 3.058 4.106
Ce 2.648 1.529 2.058
Al 0.000 0.000 3.082
B 0.000 3.058 1.607
B 2.648 1.529 4.557
N 0.000 1.606 1.828
N -1.257 3.783 1.828
N 1.391 0.803 4.335
N 1.257 3.783 1.828
N 3.905 0.803 4.335
N 2.648 2.981 4.335
```

---

# 5
Theoretical X-ray powder pattern of Pr3Tm4Ag for CuKα, from a structure optimized by DFT (PBE).
Intensities are scaled so that the largest is 100.

Main lines, in order of rising 2θ (2θ from 10° to 90°):
- 28.6 deg, I 11
- 31.2 deg, I 100
- 33.1 deg, I 9
- 35.3 deg, I 45
- 49.2 deg, I 12
- 50.7 deg, I 16
- 52.8 deg, I 11
- 59.6 deg, I 13
- 60.8 deg, I 30
- 82.0 deg, I 10

Cell and atoms:
```
8
Lattice="3.600 0.000 0.000 0.000 3.600 0.000 0.000 0.000 18.921" Properties=species:S:1:pos:R:3 pbc="T T T"
Pr 0.000 0.000 0.000
Pr 0.000 0.000 5.080
Pr 0.000 0.000 13.840
Tm 1.800 1.800 2.540
Tm 1.800 1.800 7.656
Tm 1.800 1.800 11.265
Tm 1.800 1.800 16.380
Ag 0.000 0.000 9.460
```

---

# 6
Theoretical X-ray powder pattern of KVCrSe4 for CuKα, from a structure optimized by DFT (PBE).
Intensities are scaled so that the largest is 100.

Main lines, in order of rising 2θ (2θ from 10° to 90°):
- 10.4 deg, I 100
- 16.1 deg, I 23
- 26.9 deg, I 25
- 28.8 deg, I 49
- 30.0 deg, I 28
- 30.1 deg, I 60
- 34.7 deg, I 35
- 35.7 deg, I 34
- 50.7 deg, I 22
- 54.1 deg, I 23

Cell and atoms:
```
14
Lattice="6.138 0.000 0.000 0.000 7.204 0.000 -0.975 0.000 8.492" Properties=species:S:1:pos:R:3 pbc="T T T"
K 1.179 1.801 0.513
K 3.984 5.403 7.978
V 1.547 1.801 5.596
V 3.616 5.403 2.896
Cr 0.517 5.403 3.848
Cr 4.646 1.801 4.644
Se 0.018 0.018 5.805
Se 0.018 3.584 5.805
Se 1.794 5.403 1.468
Se 2.415 1.801 3.500
Se 2.748 5.403 4.992
Se 3.368 1.801 7.023
Se 5.145 3.620 2.686
Se 5.145 7.186 2.686
```

---

# 7
Theoretical X-ray powder pattern of TmGaTc for CuKα, from a structure optimized by DFT (PBE).
Intensities are scaled so that the largest is 100.

Main lines, in order of rising 2θ (2θ from 10° to 90°):
- 32.5 deg, I 36
- 33.5 deg, I 97
- 38.8 deg, I 93
- 39.5 deg, I 100
- 39.7 deg, I 63
- 39.9 deg, I 31
- 40.7 deg, I 24
- 41.6 deg, I 36
- 62.8 deg, I 25
- 70.4 deg, I 45

Cell and atoms:
```
12
Lattice="5.325 0.000 0.000 0.000 5.503 0.000 0.000 0.000 7.479" Properties=species:S:1:pos:R:3 pbc="T T T"
Tm 0.000 1.376 0.862
Tm 0.000 4.127 6.618
Tm 2.662 1.376 2.878
Tm 2.662 4.127 4.601
Ga 0.000 0.000 3.740
Ga 0.000 2.751 3.740
Ga 2.662 0.000 0.000
Ga 2.662 2.751 0.000
Tc 1.331 1.376 5.610
Tc 1.331 4.127 1.870
Tc 3.993 1.376 5.610
Tc 3.993 4.127 1.870
```

---

# 8
Theoretical X-ray powder pattern of La7Pm2Cd2 for CuKα, from a structure optimized by DFT (PBE).
Intensities are scaled so that the largest is 100.

Main lines, in order of rising 2θ (2θ from 10° to 90°):
- 26.8 deg, I 20
- 28.3 deg, I 37
- 29.2 deg, I 68
- 30.1 deg, I 100
- 31.0 deg, I 48
- 32.0 deg, I 63
- 33.7 deg, I 41
- 34.7 deg, I 57
- 37.1 deg, I 30
- 53.8 deg, I 26

Cell and atoms:
```
11
Lattice="4.599 -5.167 0.000 4.599 5.167 0.000 -1.603 0.000 7.970" Properties=species:S:1:pos:R:3 pbc="T T T"
La 0.000 0.000 0.000
La 1.532 2.260 6.518
La 2.262 0.000 4.093
La 6.063 2.260 1.452
La 1.532 -2.260 6.518
La 5.332 0.000 3.877
La 6.063 -2.260 1.452
Pm 3.797 3.450 3.985
Pm 3.797 -3.450 3.985
Cd 3.399 0.000 1.004
Cd 4.195 0.000 6.966
```